Structure and theoretical powder X-ray diffraction pattern of K3Np2CrTe6 (DFT lattice parameters and positions (PBE); λ = 1.5418 Å (Cu Kα)).
Peak positions follow from Bragg's law for the DFT cell and can differ from measured ones.

Structure:
a b c (Å): 7.677 7.677 8.583
angles (deg): 98.61 98.61 120.05
Element x y z (fractional)
K 0.000 0.000 0.000
K 0.329 0.671 0.000
K 0.671 0.329 0.000
Np 0.166 0.834 0.500
Np 0.834 0.166 0.500
Cr 0.500 0.500 0.500
Te 0.119 0.433 0.300
Te 0.253 0.253 0.702
Te 0.433 0.119 0.300
Te 0.567 0.881 0.700
Te 0.747 0.747 0.298
Te 0.881 0.567 0.700

Principal peaks in the range 2θ = 10–90°, by intensity:
2theta, intensity
27.4, 1000
10.8, 596
40.7, 364
34.6, 242
37.5, 236
49.8, 182
47.1, 150
66.2, 148
37.6, 108
42.2, 99